[1]
Computed XRD peak list of UMnO4 for copper Kα, from the PBE+U geometry in the Materials Project.

Structural model:
a b c (Å): 6.759 7.011 6.882
angles (deg): 90.00 90.00 90.00
Space group Imma (No. 74)
Asymmetric unit:
U: 0.000 0.250 0.007 x4
Mn: 0.000 0.000 0.500 x4
O: 0.000 0.006 0.813 x8
O: 0.207 0.250 0.492 x8

Principal peaks in the range 5° ≤ 2θ ≤ 70°, by intensity:
2θ = 31.6°, I 100, hkl 1 2 1
2θ = 18.4°, I 79, hkl 1 0 1
2θ = 25.9°, I 52, hkl 0 0 2
2θ = 26.4°, I 48, hkl 2 0 0
2θ = 49.4°, I 38, hkl 1 2 3
2θ = 49.9°, I 35, hkl 3 2 1
2θ = 36.6°, I 25, hkl 0 2 2
2θ = 37.3°, I 25, hkl 2 0 2
2θ = 63.7°, I 21, hkl 3 2 3
2θ = 25.4°, I 18, hkl 0 2 0

***

[2]
Computed XRD peak list of ZrMnH10O5F6 for copper Kα, from the PBE+U geometry in the Materials Project.

Structural model:
a b c (Å): 15.801 7.640 8.875
angles (deg): 90.00 122.42 90.00
Space group C2 (No. 5)
Asymmetric unit:
Zr: 0.000 0.000 0.000 x2
Zr: 0.000 0.499 0.000 x2
Mn: 0.230 0.250 0.775 x4
H: 0.069 0.038 0.724 x4
H: 0.069 0.467 0.720 x4
H: 0.079 0.743 0.370 x4
H: 0.116 0.561 0.615 x4
H: 0.116 0.854 0.546 x4
H: 0.141 0.213 0.404 x4
H: 0.170 0.927 0.810 x4
H: 0.194 0.252 0.061 x4
H: 0.206 0.645 0.877 x4
H: 0.241 0.743 0.512 x4
O: 0.125 0.741 0.501 x4
O: 0.130 0.018 0.718 x4
O: 0.131 0.481 0.715 x4
O: 0.204 0.245 0.513 x4
O: 0.245 0.751 0.946 x4
F: 0.010 0.751 0.143 x4
F: 0.015 0.434 0.237 x4
F: 0.022 0.067 0.244 x4
F: 0.090 0.249 0.067 x4
F: 0.149 0.934 0.116 x4
F: 0.150 0.565 0.116 x4

Principal peaks in the range 5° ≤ 2θ ≤ 70°, by intensity:
2θ = 11.8°, I 100, hkl 0 0 1
2θ = 26.9°, I 46, hkl 2 2 0
2θ = 20.0°, I 45, hkl 2 0 -2
2θ = 12.1°, I 36, hkl 2 0 -1
2θ = 22.6°, I 33, hkl 4 0 -1
2θ = 30.8°, I 23, hkl 2 0 -3
2θ = 42.8°, I 19, hkl 6 2 -1
2θ = 47.3°, I 15, hkl 6 2 0
2θ = 15.3°, I 14, hkl 1 1 -1
2θ = 22.1°, I 14, hkl 2 0 1

***

[3]
Computed XRD peak list of Li2MnFeP2O8 for copper Kα, from the PBE+U geometry in the Materials Project.

Structural model:
a b c (Å): 4.776 6.124 10.524
angles (deg): 90.14 90.01 90.05
Space group P1 (No. 1)
Asymmetric unit:
Li: 0.000 0.000 0.000 x1
Li: 0.000 0.499 0.001 x1
Li: 0.498 0.001 0.507 x1
Li: 0.499 0.501 0.507 x1
Mn: 0.020 0.751 0.285 x1
Mn: 0.521 0.251 0.222 x1
Fe: 0.473 0.749 0.784 x1
Fe: 0.974 0.252 0.722 x1
P: 0.086 0.251 0.413 x1
P: 0.417 0.248 0.907 x1
P: 0.586 0.750 0.093 x1
P: 0.915 0.753 0.599 x1
O: 0.208 0.251 0.550 x1
O: 0.219 0.049 0.343 x1
O: 0.220 0.453 0.343 x1
O: 0.237 0.752 0.601 x1
O: 0.264 0.750 0.097 x1
O: 0.284 0.449 0.835 x1
O: 0.285 0.044 0.839 x1
O: 0.292 0.252 0.044 x1
O: 0.708 0.749 0.956 x1
O: 0.719 0.549 0.164 x1
O: 0.719 0.953 0.163 x1
O: 0.739 0.250 0.905 x1
O: 0.765 0.251 0.409 x1
O: 0.783 0.551 0.670 x1
O: 0.784 0.956 0.669 x1
O: 0.790 0.751 0.463 x1

Principal peaks in the range 5° ≤ 2θ ≤ 70°, by intensity:
2θ = 35.0°, I 100, hkl 1 -1 3
2θ = 25.1°, I 87, hkl 1 -1 1
2θ = 29.2°, I 74, hkl 0 2 0
2θ = 20.4°, I 58, hkl 1 0 -1
2θ = 51.5°, I 35, hkl -2 2 2
2θ = 35.9°, I 29, hkl 1 2 -1
2θ = 16.8°, I 28, hkl 0 0 2
2θ = 31.6°, I 27, hkl 1 0 -3
2θ = 37.2°, I 21, hkl 0 1 -4
2θ = 41.5°, I 20, hkl 2 0 2

***

[4]
Computed XRD peak list of Li2NiP4O12 for copper Kα, from the PBE+U geometry in the Materials Project.

Structural model:
a b c (Å): 10.459 12.533 7.589
angles (deg): 90.00 103.49 90.00
Space group Cc (No. 9)
Asymmetric unit:
Li: 0.000 0.163 0.000 x4
Li: 0.256 0.327 0.795 x4
Ni: 0.344 0.152 0.117 x4
P: 0.026 0.190 0.432 x4
P: 0.202 0.339 0.301 x4
P: 0.232 0.077 0.691 x4
P: 0.468 0.072 0.536 x4
O: 0.093 0.425 0.209 x4
O: 0.110 0.088 0.517 x4
O: 0.137 0.284 0.457 x4
O: 0.207 0.256 0.160 x4
O: 0.211 0.154 0.836 x4
O: 0.243 0.040 0.223 x4
O: 0.321 0.399 0.396 x4
O: 0.353 0.124 0.617 x4
O: 0.433 0.284 0.051 x4
O: 0.447 0.045 0.003 x4
O: 0.459 0.334 0.740 x4
O: 0.488 0.146 0.388 x4

Principal peaks in the range 5° ≤ 2θ ≤ 70°, by intensity:
2θ = 11.2°, I 100, hkl 1 1 0
2θ = 23.5°, I 67, hkl 2 2 -1
2θ = 17.9°, I 39, hkl 1 1 1
2θ = 28.5°, I 24, hkl 0 4 0
2θ = 33.2°, I 22, hkl 2 0 2
2θ = 34.1°, I 18, hkl 3 3 0
2θ = 32.0°, I 11, hkl 1 3 -2
2θ = 40.8°, I 11, hkl 3 1 2
2θ = 24.7°, I 10, hkl 1 1 -2
2θ = 38.2°, I 8, hkl 3 3 -2

***

[5]
Computed XRD peak list of Li4Cr3NiO8 for copper Kα, from the PBE+U geometry in the Materials Project.

Structural model:
a b c (Å): 5.126 5.891 10.622
angles (deg): 105.96 94.54 106.91
Space group P-1 (No. 2)
Asymmetric unit:
Li: 0.000 0.000 0.000 x1
Li: 0.000 0.250 0.500 x2
Li: 0.000 0.500 0.000 x1
Li: 0.001 0.369 0.754 x2
Li: 0.004 0.881 0.751 x2
Cr: 0.499 0.310 0.122 x2
Cr: 0.499 0.561 0.626 x2
Cr: 0.500 0.063 0.627 x2
Ni: 0.499 0.188 0.875 x2
O: 0.267 0.354 0.944 x2
O: 0.267 0.979 0.192 x2
O: 0.270 0.223 0.684 x2
O: 0.276 0.598 0.439 x2
O: 0.276 0.723 0.691 x2
O: 0.277 0.847 0.936 x2
O: 0.279 0.099 0.440 x2
O: 0.279 0.471 0.189 x2

Principal peaks in the range 5° ≤ 2θ ≤ 70°, by intensity:
2θ = 18.4°, I 100, hkl 1 0 0
2θ = 41.6°, I 30, hkl 1 2 -1
2θ = 43.3°, I 27, hkl 1 0 4
2θ = 31.8°, I 25, hkl 0 2 -1
2θ = 47.3°, I 20, hkl 0 2 -5
2θ = 52.2°, I 14, hkl -2 2 3
2θ = 35.7°, I 14, hkl 0 0 4
2θ = 56.9°, I 10, hkl 3 -2 1
2θ = 49.8°, I 8, hkl 1 -2 5
2θ = 62.9°, I 7, hkl 3 0 -4

***

[6]
Computed XRD peak list of MgCo8O16 for copper Kα, from the PBE+U geometry in the Materials Project.

Structural model:
a b c (Å): 2.845 2.846 39.681
angles (deg): 88.00 89.21 60.10
Space group P1 (No. 1)
Asymmetric unit:
Mg: 0.000 0.000 0.000 x1
Co: 0.007 0.022 0.936 x1
Co: 0.185 0.558 0.562 x1
Co: 0.314 0.041 0.187 x1
Co: 0.429 0.550 0.812 x1
Co: 0.571 0.047 0.437 x1
Co: 0.664 0.642 0.062 x1
Co: 0.836 0.022 0.687 x1
Co: 0.910 0.572 0.312 x1
O: 0.094 0.230 0.788 x1
O: 0.167 0.368 0.663 x1
O: 0.240 0.701 0.461 x1
O: 0.245 0.893 0.336 x1
O: 0.332 0.322 0.031 x1
O: 0.339 0.367 0.913 x1
O: 0.504 0.675 0.710 x1
O: 0.520 0.879 0.585 x1
O: 0.575 0.252 0.288 x1
O: 0.645 0.387 0.163 x1
O: 0.671 0.677 0.968 x1
O: 0.763 0.871 0.835 x1
O: 0.850 0.237 0.538 x1
O: 0.903 0.393 0.413 x1
O: 0.982 0.694 0.211 x1
O: 0.999 0.964 0.085 x1

Principal peaks in the range 5° ≤ 2θ ≤ 70°, by intensity:
2θ = 17.9°, I 100, hkl 0 0 8
2θ = 65.8°, I 8, hkl 2 1 2
2θ = 37.1°, I 7, hkl 1 0 3
2θ = 47.3°, I 7, hkl 1 0 -13
2θ = 36.6°, I 7, hkl 1 1 -1
2θ = 37.3°, I 7, hkl 0 1 4
2θ = 46.7°, I 7, hkl 0 1 -12
2θ = 45.2°, I 7, hkl 0 1 12
2θ = 42.6°, I 7, hkl 1 1 -9
2θ = 44.6°, I 7, hkl 1 0 11

***

[7]
Computed XRD peak list of BaSmCr4O12 for copper Kα, from the PBE+U geometry in the Materials Project.

Structural model:
a b c (Å): 5.454 5.454 7.524
angles (deg): 90.00 90.00 90.00
Space group P4/mmm (No. 123)
Asymmetric unit:
Ba: 0.000 0.000 0.000 x1
Sm: 0.500 0.500 0.500 x1
Cr: 0.000 0.500 0.250 x4
O: 0.000 0.500 0.000 x2
O: 0.000 0.500 0.500 x2
O: 0.261 0.261 0.266 x8

Principal peaks in the range 5° ≤ 2θ ≤ 70°, by intensity:
2θ = 20.1°, I 100, hkl 1 0 1
2θ = 33.3°, I 66, hkl 1 1 2
2θ = 38.8°, I 37, hkl 2 1 1
2θ = 32.8°, I 34, hkl 2 0 0
2θ = 47.1°, I 30, hkl 2 2 0
2θ = 58.9°, I 25, hkl 3 1 2
2θ = 39.5°, I 17, hkl 1 0 3
2θ = 52.3°, I 16, hkl 2 1 3
2θ = 69.9°, I 15, hkl 2 2 4
2θ = 48.4°, I 13, hkl 0 0 4

***

[8]
Computed XRD peak list of Li9Mn2Co5O16 for copper Kα, from the PBE+U geometry in the Materials Project.

Structural model:
a b c (Å): 5.905 6.444 7.879
angles (deg): 87.56 75.62 76.69
Space group P1 (No. 1)
Asymmetric unit:
Li: 0.000 0.000 0.000 x1
Li: 0.007 0.504 0.511 x1
Li: 0.250 0.268 0.751 x1
Li: 0.263 0.752 0.245 x1
Li: 0.512 0.508 0.506 x1
Li: 0.527 0.991 0.999 x1
Li: 0.748 0.752 0.240 x1
Li: 0.754 0.258 0.753 x1
Li: 0.881 0.632 0.877 x1
Mn: 0.129 0.378 0.122 x1
Mn: 0.132 0.876 0.631 x1
Co: 0.380 0.628 0.877 x1
Co: 0.383 0.128 0.375 x1
Co: 0.632 0.381 0.123 x1
Co: 0.636 0.879 0.633 x1
Co: 0.885 0.130 0.378 x1
O: 0.093 0.671 0.060 x1
O: 0.094 0.177 0.558 x1
O: 0.175 0.081 0.196 x1
O: 0.191 0.585 0.680 x1
O: 0.319 0.923 0.795 x1
O: 0.321 0.418 0.291 x1
O: 0.424 0.327 0.941 x1
O: 0.431 0.836 0.443 x1
O: 0.573 0.669 0.065 x1
O: 0.594 0.171 0.555 x1
O: 0.668 0.590 0.696 x1
O: 0.677 0.085 0.197 x1
O: 0.838 0.944 0.803 x1
O: 0.839 0.427 0.312 x1
O: 0.946 0.324 0.966 x1
O: 0.948 0.837 0.460 x1

Principal peaks in the range 5° ≤ 2θ ≤ 70°, by intensity:
2θ = 18.5°, I 100, hkl 0 1 1
2θ = 44.8°, I 50, hkl 2 0 -2
2θ = 41.9°, I 31, hkl 2 1 3
2θ = 36.8°, I 23, hkl 0 2 -2
2θ = 63.1°, I 22, hkl 4 1 1
2θ = 34.9°, I 18, hkl 2 0 2
2θ = 37.4°, I 8, hkl 0 2 2
2θ = 62.9°, I 7, hkl 0 1 5
2θ = 38.0°, I 7, hkl 0 1 -3
2θ = 65.9°, I 7, hkl 2 3 -3

***

> Which formula does entry 3 have?

Li2MnFeP2O8